No. 1
Starting from DFT lattice parameters and positions (GGA-PBE), the X-ray powder pattern of In2SiTe4 was simulated for Cu Kα (weighted mean of Kα1 and Kα2).

Peak list (10 most intense, 10° ≤ 2θ ≤ 90°, low angle first)
- (1 0 1), 6.006 Å, rel. 15
- (1 1 0), 5.324 Å, rel. 14
- (1 1 2), 3.637 Å, rel. 100
- (2 1 1), 3.190 Å, rel. 10
- (2 0 2), 3.003 Å, rel. 18
- (2 2 0), 2.662 Å, rel. 34
- (3 1 2), 2.148 Å, rel. 33
- (2 0 4), 2.077 Å, rel. 34
- (3 2 1), 2.044 Å, rel. 10
- (4 2 4), 1.395 Å, rel. 11

Structural model:
```
data_In2SiTe4
_chemical_formula_sum 'In4 Si2 Te8'
_cell_length_a 7.5294
_cell_length_b 7.5294
_cell_length_c 9.9607
_cell_angle_alpha 90.00
_cell_angle_beta 90.00
_cell_angle_gamma 90.00
_space_group_name_H-M_alt 'I -4 2 m'
_space_group_IT_number 121
_space_group_name_Hall 'I -4 2'
loop_
_atom_site_label
_atom_site_type_symbol
_atom_site_fract_x
_atom_site_fract_y
_atom_site_fract_z
_atom_site_occupancy
In1 In 0.0000 0.5000 0.2500 1
Si1 Si 0.0000 0.0000 0.0000 1
Te1 Te 0.2150 0.2150 0.8911 1
```



No. 2
Starting from DFT lattice parameters and positions (GGA-PBE), the X-ray powder pattern of InSi2Te6 was simulated for Cu Kα (weighted mean of Kα1 and Kα2).

Peak list (10 most intense, 10° ≤ 2θ ≤ 90°, low angle first)
- (3 1 0), 4.085 Å, rel. 19
- (1 3 1), 3.458 Å, rel. 100
- (2 0 -2), 3.352 Å, rel. 64
- (4 0 0), 3.183 Å, rel. 15
- (2 4 -1), 3.163 Å, rel. 26
- (5 1 -1), 2.762 Å, rel. 12
- (0 6 0), 2.512 Å, rel. 16
- (2 0 2), 2.383 Å, rel. 18
- (4 4 1), 2.043 Å, rel. 18
- (1 3 -3), 1.979 Å, rel. 14

Structural model:
```
data_InSi2Te6
_chemical_formula_sum 'In4 Si8 Te24'
_cell_length_a 14.0580
_cell_length_b 15.0740
_cell_length_c 6.7286
_cell_angle_alpha 90.00
_cell_angle_beta 115.09
_cell_angle_gamma 90.00
_space_group_name_H-M_alt 'C 1 2/c 1'
_space_group_IT_number 15
_space_group_name_Hall '-C 2yc'
loop_
_atom_site_label
_atom_site_type_symbol
_atom_site_fract_x
_atom_site_fract_y
_atom_site_fract_z
_atom_site_occupancy
In1 In 0.0000 0.2050 0.2500 1
Si1 Si 0.2125 0.4259 0.3190 1
Te1 Te 0.0954 0.0830 0.6139 1
Te2 Te 0.1424 0.2840 0.1061 1
Te3 Te 0.1479 0.4270 0.6185 1
```



No. 3
Starting from DFT lattice parameters and positions (GGA-PBE), the X-ray powder pattern of InSiTe was simulated for Cu Kα (weighted mean of Kα1 and Kα2).

Peak list (10 most intense, 10° ≤ 2θ ≤ 90°, low angle first)
- (0 0 6), 5.769 Å, rel. 21
- (1 0 1), 3.423 Å, rel. 34
- (1 0 7), 2.824 Å, rel. 100
- (0 1 8), 2.693 Å, rel. 29
- (0 1 14), 2.008 Å, rel. 33
- (1 1 0), 1.986 Å, rel. 37
- (0 2 7), 1.625 Å, rel. 18
- (1 1 15), 1.505 Å, rel. 14
- (1 1 21), 1.268 Å, rel. 12
- (2 1 7), 1.258 Å, rel. 16

Structural model:
```
data_InSiTe
_chemical_formula_sum 'In6 Si6 Te6'
_cell_length_a 3.9725
_cell_length_b 3.9725
_cell_length_c 34.6146
_cell_angle_alpha 90.00
_cell_angle_beta 90.00
_cell_angle_gamma 120.00
_space_group_name_H-M_alt 'R -3 m'
_space_group_IT_number 166
_space_group_name_Hall '-R 3 2"'
loop_
_atom_site_label
_atom_site_type_symbol
_atom_site_fract_x
_atom_site_fract_y
_atom_site_fract_z
_atom_site_occupancy
In1 In 0.0000 0.0000 0.0707 1
Si1 Si 0.0000 0.0000 0.3459 1
Te1 Te 0.0000 0.0000 0.2108 1
```



No. 4
Starting from DFT lattice parameters and positions (GGA-PBE), the X-ray powder pattern of InSiTe3 was simulated for Cu Kα (weighted mean of Kα1 and Kα2).

Peak list (10 most intense, 10° ≤ 2θ ≤ 90°, low angle first)
- (0 0 1), 7.759 Å, rel. 25
- (0 0 2), 3.880 Å, rel. 18
- (2 0 -1), 3.532 Å, rel. 12
- (1 3 -1), 3.416 Å, rel. 29
- (1 3 1), 3.045 Å, rel. 100
- (2 0 2), 2.261 Å, rel. 14
- (1 3 -3), 2.254 Å, rel. 25
- (0 6 0), 2.063 Å, rel. 35
- (2 6 -2), 1.707 Å, rel. 12
- (4 6 0), 1.316 Å, rel. 10

Structural model:
```
data_InSiTe3
_chemical_formula_sum 'In4 Si4 Te12'
_cell_length_a 7.1453
_cell_length_b 12.3800
_cell_length_c 8.1070
_cell_angle_alpha 90.00
_cell_angle_beta 106.84
_cell_angle_gamma 90.00
_space_group_name_H-M_alt 'C 1 2/m 1'
_space_group_IT_number 12
_space_group_name_Hall '-C 2y'
loop_
_atom_site_label
_atom_site_type_symbol
_atom_site_fract_x
_atom_site_fract_y
_atom_site_fract_z
_atom_site_occupancy
In1 In 0.0000 0.1667 0.0000 1
Si1 Si 0.0496 0.5000 0.1501 1
Te1 Te 0.2430 0.0000 0.2469 1
Te2 Te 0.2495 0.1692 0.7532 1
```



No. 5
Starting from DFT lattice parameters and positions (GGA-PBE), the X-ray powder pattern of Th2InSi was simulated for Cu Kα (weighted mean of Kα1 and Kα2).

Peak list (10 most intense, 10° ≤ 2θ ≤ 90°, low angle first)
- (1 0 0), 3.801 Å, rel. 35
- (0 0 2), 3.652 Å, rel. 13
- (1 0 1), 3.372 Å, rel. 16
- (1 1 0), 2.688 Å, rel. 58
- (1 0 2), 2.633 Å, rel. 100
- (1 1 2), 2.165 Å, rel. 14
- (2 0 0), 1.901 Å, rel. 21
- (1 1 3), 1.804 Å, rel. 10
- (2 1 2), 1.541 Å, rel. 40
- (1 1 4), 1.510 Å, rel. 14

Structural model:
```
data_Th2InSi
_chemical_formula_sum 'Th2 In1 Si1'
_cell_length_a 3.8014
_cell_length_b 3.8014
_cell_length_c 7.3032
_cell_angle_alpha 90.00
_cell_angle_beta 90.00
_cell_angle_gamma 90.00
_space_group_name_H-M_alt 'P 4/m m m'
_space_group_IT_number 123
_space_group_name_Hall '-P 4 2'
loop_
_atom_site_label
_atom_site_type_symbol
_atom_site_fract_x
_atom_site_fract_y
_atom_site_fract_z
_atom_site_occupancy
Th1 Th 0.0000 0.0000 0.2225 1
In1 In 0.5000 0.5000 0.5000 1
Si1 Si 0.5000 0.5000 0.0000 1
```



No. 6
Starting from DFT lattice parameters and positions (GGA-PBE), the X-ray powder pattern of TlIn2Si was simulated for Cu Kα (weighted mean of Kα1 and Kα2).

Peak list (10 most intense, 10° ≤ 2θ ≤ 90°, low angle first)
- (0 1 0), 4.067 Å, rel. 20
- (0 1 1), 3.569 Å, rel. 34
- (1 0 1), 3.045 Å, rel. 19
- (0 1 2), 2.746 Å, rel. 100
- (1 1 0), 2.613 Å, rel. 96
- (1 0 -2), 2.578 Å, rel. 44
- (0 0 3), 2.482 Å, rel. 17
- (1 0 2), 2.456 Å, rel. 32
- (0 2 0), 2.033 Å, rel. 24
- (1 2 -2), 1.597 Å, rel. 20

Structural model:
```
data_TlIn2Si
_chemical_formula_sum 'Tl1 In2 Si1'
_cell_length_a 3.4146
_cell_length_b 4.0666
_cell_length_c 7.4560
_cell_angle_alpha 90.00
_cell_angle_beta 92.78
_cell_angle_gamma 90.00
_space_group_name_H-M_alt 'P 1 m 1'
_space_group_IT_number 6
_space_group_name_Hall 'P -2y'
loop_
_atom_site_label
_atom_site_type_symbol
_atom_site_fract_x
_atom_site_fract_y
_atom_site_fract_z
_atom_site_occupancy
Tl1 Tl 0.0000 0.0000 0.0000 1
In1 In 0.4577 0.5000 0.7042 1
In2 In 0.9283 0.0000 0.4436 1
Si1 Si 0.4177 0.5000 0.2836 1
```